1.
This entry pairs a crystal structure of Sm2PdO4 with its theoretical powder diffraction line list. Radiation: Cu Kα. Structure: DFT lattice parameters and positions (GGA-PBE).

Crystal structure
```
Sm2PdO4
1.0
5.6313 0.0000 0.0000
0.0000 5.6578 0.0000
0.0000 0.0000 12.2105
Sm Pd O
8 4 16
Direct
0.0094 0.0386 0.1565
0.0094 0.4614 0.6565
0.4906 0.5386 0.1565
0.4906 0.9614 0.6565
0.5094 0.0386 0.3435
0.5094 0.4614 0.8435
0.9906 0.5386 0.3435
0.9906 0.9614 0.8435
0.0000 0.0000 0.5000
0.0000 0.5000 0.0000
0.5000 0.0000 0.0000
0.5000 0.5000 0.5000
0.1869 0.6878 0.5105
0.1869 0.8122 0.0105
0.2418 0.2110 0.7555
0.2418 0.2890 0.2555
0.2582 0.7110 0.7555
0.2582 0.7890 0.2555
0.3131 0.1878 0.5105
0.3131 0.3122 0.0105
0.6869 0.6878 0.9895
0.6869 0.8122 0.4895
0.7418 0.2110 0.7445
0.7418 0.2890 0.2445
0.7582 0.7110 0.7445
0.7582 0.7890 0.2445
0.8131 0.1878 0.9895
0.8131 0.3122 0.4895
```

Main lines, sorted by position (10° ≤ 2θ ≤ 80°):
31.39 deg, 2.850 Å, I = 100; 31.63 deg, 2.829 Å, I = 16; 31.78 deg, 2.816 Å, I = 19; 44.52 deg, 2.035 Å, I = 9; 45.45 deg, 1.996 Å, I = 20; 55.69 deg, 1.651 Å, I = 18; 56.18 deg, 1.637 Å, I = 14; 56.37 deg, 1.632 Å, I = 20; 65.51 deg, 1.425 Å, I = 10; 73.76 deg, 1.285 Å, I = 7

2.
This entry pairs a crystal structure of Sm2PdO4 with its theoretical powder diffraction line list. Radiation: Cu Kα. Structure: DFT lattice parameters and positions (GGA-PBE).

Crystal structure
```
Sm2PdO4
1.0
7.9944 0.0000 0.0000
0.0000 7.9944 0.0000
0.0000 0.0000 6.4208
Sm Pd O
8 4 16
Direct
0.0702 0.5702 0.2500
0.0702 0.9298 0.7500
0.4298 0.5702 0.7500
0.4298 0.9298 0.2500
0.5702 0.0702 0.7500
0.5702 0.4298 0.2500
0.9298 0.0702 0.2500
0.9298 0.4298 0.7500
0.2500 0.2500 0.0630
0.2500 0.2500 0.5630
0.7500 0.7500 0.4370
0.7500 0.7500 0.9370
0.0014 0.1796 0.5783
0.0014 0.3204 0.0783
0.1796 0.0014 0.0783
0.1796 0.4986 0.5783
0.3204 0.0014 0.5783
0.3204 0.4986 0.0783
0.4986 0.1796 0.0783
0.4986 0.3204 0.5783
0.5014 0.6796 0.4217
0.5014 0.8204 0.9217
0.6796 0.5014 0.9217
0.6796 0.9986 0.4217
0.8204 0.5014 0.4217
0.8204 0.9986 0.9217
0.9986 0.6796 0.9217
0.9986 0.8204 0.4217
```

Main lines, sorted by position (10° ≤ 2θ ≤ 80°):
28.58 deg, 3.124 Å, I = 100; 31.66 deg, 2.826 Å, I = 17; 32.06 deg, 2.792 Å, I = 17; 35.51 deg, 2.528 Å, I = 39; 35.88 deg, 2.503 Å, I = 48; 49.08 deg, 1.856 Å, I = 46; 49.65 deg, 1.836 Å, I = 30; 56.64 deg, 1.625 Å, I = 24; 64.89 deg, 1.437 Å, I = 15; 68.43 deg, 1.371 Å, I = 13

3.
This entry pairs a crystal structure of Sn2PdO3 with its theoretical powder diffraction line list. Radiation: Cu Kα. Structure: DFT lattice parameters and positions (GGA-PBE).

Crystal structure
```
Sn2PdO3
1.0
-1.6851 2.0506 6.3059
1.6851 -2.0506 6.3059
1.6851 2.0506 -6.3059
Sn Pd O
2 1 3
Direct
0.1502 0.1502 0.0000
0.8498 0.8498 0.0000
0.5000 0.5000 0.0000
0.0000 0.5000 0.5000
0.3337 0.3337 0.0000
0.6663 0.6663 0.0000
```

Main lines, sorted by position (10° ≤ 2θ ≤ 80°):
30.45 deg, 2.936 Å, I = 84; 34.10 deg, 2.630 Å, I = 79; 34.44 deg, 2.604 Å, I = 100; 43.03 deg, 2.102 Å, I = 25; 44.17 deg, 2.051 Å, I = 29; 54.45 deg, 1.685 Å, I = 16; 56.24 deg, 1.636 Å, I = 37; 56.95 deg, 1.617 Å, I = 38; 63.37 deg, 1.468 Å, I = 15; 63.67 deg, 1.461 Å, I = 23

4.
This entry pairs a crystal structure of SnPdO3 with its theoretical powder diffraction line list. Radiation: Cu Kα. Structure: DFT lattice parameters and positions (GGA-PBE).

Crystal structure
```
SnPdO3
1.0
5.2422 0.0000 0.0000
0.0000 9.6700 0.0000
0.0000 0.0000 9.7498
Sn Pd O
8 8 24
Direct
0.1484 0.1462 0.0000
0.2261 0.1074 0.4997
0.2739 0.6074 0.4997
0.3516 0.6462 0.0000
0.6484 0.3538 0.0000
0.7261 0.3926 0.4997
0.7739 0.8926 0.4997
0.8516 0.8538 0.0000
0.2197 0.3723 0.2524
0.2198 0.3725 0.7474
0.2803 0.8723 0.2524
0.2802 0.8725 0.7474
0.7198 0.1275 0.7474
0.7197 0.1277 0.2524
0.7802 0.6275 0.7474
0.7803 0.6277 0.2524
0.0000 0.0000 0.3445
0.0000 0.0000 0.6548
0.0000 0.5000 0.3656
0.0000 0.5000 0.6338
0.0637 0.7312 0.1457
0.0637 0.7313 0.8542
0.1166 0.7911 0.4991
0.2305 0.9469 0.0005
0.2695 0.4469 0.0005
0.3834 0.2911 0.4991
0.4363 0.2312 0.1457
0.4363 0.2313 0.8542
0.5000 0.0000 0.3656
0.5000 0.0000 0.6338
0.5000 0.5000 0.3445
0.5000 0.5000 0.6548
0.5637 0.7688 0.1457
0.5637 0.7687 0.8542
0.6166 0.7089 0.4991
0.7305 0.5531 0.0005
0.7695 0.0531 0.0005
0.8834 0.2089 0.4991
0.9363 0.2688 0.1457
0.9363 0.2687 0.8542
```

Main lines, sorted by position (10° ≤ 2θ ≤ 80°):
31.14 deg, 2.872 Å, I = 100; 34.21 deg, 2.621 Å, I = 11; 36.88 deg, 2.437 Å, I = 18; 37.19 deg, 2.417 Å, I = 12; 51.18 deg, 1.785 Å, I = 12; 51.42 deg, 1.777 Å, I = 11; 53.38 deg, 1.716 Å, I = 14; 59.36 deg, 1.557 Å, I = 8; 62.89 deg, 1.478 Å, I = 14; 63.31 deg, 1.469 Å, I = 12

5.
This entry pairs a crystal structure of Sr4Pd4O11 with its theoretical powder diffraction line list. Radiation: Cu Kα. Structure: DFT lattice parameters and positions (GGA-PBE).

Crystal structure
```
Sr4Pd4O11
1.0
5.6375 0.0000 0.0000
-0.0564 5.6411 0.0000
-0.0607 -0.0999 7.8949
Sr Pd O
4 4 11
Direct
0.0000 0.0000 0.0000
0.0762 0.9995 0.5005
0.5167 0.5386 0.9922
0.6009 0.5142 0.4994
0.0526 0.5058 0.2461
0.0560 0.5070 0.7495
0.5449 0.0198 0.2468
0.5475 0.0192 0.7488
0.0861 0.4206 0.0003
0.0863 0.5745 0.4961
0.2578 0.8086 0.7955
0.2629 0.8027 0.2017
0.3451 0.3045 0.6970
0.5163 0.9393 0.4963
0.5605 0.1107 0.0012
0.7578 0.7166 0.7773
0.7673 0.7279 0.2260
0.8392 0.2263 0.2948
0.8453 0.2170 0.7053
```

Main lines, sorted by position (10° ≤ 2θ ≤ 80°):
31.75 deg, 2.819 Å, I = 100; 31.88 deg, 2.807 Å, I = 26; 32.22 deg, 2.778 Å, I = 24; 45.25 deg, 2.004 Å, I = 13; 45.74 deg, 1.984 Å, I = 13; 45.98 deg, 1.974 Å, I = 14; 56.44 deg, 1.630 Å, I = 10; 56.57 deg, 1.627 Å, I = 14; 56.71 deg, 1.623 Å, I = 11; 66.32 deg, 1.409 Å, I = 13

6.
This entry pairs a crystal structure of Tb2PdO4 with its theoretical powder diffraction line list. Radiation: Cu Kα. Structure: DFT lattice parameters and positions (GGA-PBE).

Crystal structure
```
Tb2PdO4
1.0
7.8799 0.0000 0.0000
0.0000 7.8799 0.0000
0.0000 0.0000 6.2582
Tb Pd O
8 4 16
Direct
0.0698 0.5698 0.2500
0.0698 0.9302 0.7500
0.4302 0.5698 0.7500
0.4302 0.9302 0.2500
0.5698 0.0698 0.7500
0.5698 0.4302 0.2500
0.9302 0.0698 0.2500
0.9302 0.4302 0.7500
0.2500 0.2500 0.0616
0.2500 0.2500 0.5616
0.7500 0.7500 0.4384
0.7500 0.7500 0.9384
0.0016 0.6791 0.9209
0.0016 0.8209 0.4209
0.1791 0.5016 0.5791
0.1791 0.9984 0.0791
0.3209 0.5016 0.0791
0.3209 0.9984 0.5791
0.4984 0.6791 0.4209
0.4984 0.8209 0.9209
0.5016 0.1791 0.0791
0.5016 0.3209 0.5791
0.6791 0.0016 0.4209
0.6791 0.4984 0.9209
0.8209 0.0016 0.9209
0.8209 0.4984 0.4209
0.9984 0.1791 0.5791
0.9984 0.3209 0.0791
```

Main lines, sorted by position (10° ≤ 2θ ≤ 80°):
29.08 deg, 3.071 Å, I = 100; 32.13 deg, 2.786 Å, I = 17; 32.83 deg, 2.728 Å, I = 15; 36.04 deg, 2.492 Å, I = 38; 36.68 deg, 2.450 Å, I = 47; 49.89 deg, 1.828 Å, I = 46; 50.87 deg, 1.795 Å, I = 29; 57.72 deg, 1.597 Å, I = 24; 66.34 deg, 1.409 Å, I = 17; 69.56 deg, 1.351 Å, I = 12

7.
This entry pairs a crystal structure of Tb2PdO4 with its theoretical powder diffraction line list. Radiation: Cu Kα. Structure: DFT lattice parameters and positions (GGA-PBE).

Crystal structure
```
Tb2PdO4
1.0
5.5676 0.0000 0.0000
0.0000 5.5927 0.0000
0.0000 0.0000 11.9279
Tb Pd O
8 4 16
Direct
0.0089 0.0383 0.1583
0.0089 0.4617 0.6583
0.4911 0.5383 0.1583
0.4911 0.9617 0.6583
0.5089 0.0383 0.3417
0.5089 0.4617 0.8417
0.9911 0.5383 0.3417
0.9911 0.9617 0.8417
0.0000 0.0000 0.5000
0.0000 0.5000 0.0000
0.5000 0.0000 0.0000
0.5000 0.5000 0.5000
0.1798 0.6807 0.5100
0.1798 0.8193 0.0100
0.2414 0.2110 0.7559
0.2414 0.2890 0.2559
0.2586 0.7110 0.7559
0.2586 0.7890 0.2559
0.3202 0.1807 0.5100
0.3202 0.3193 0.0100
0.6798 0.6807 0.9900
0.6798 0.8193 0.4900
0.7414 0.2110 0.7441
0.7414 0.2890 0.2441
0.7586 0.7110 0.7441
0.7586 0.7890 0.2441
0.8202 0.1807 0.9900
0.8202 0.3193 0.4900
```

Main lines, sorted by position (10° ≤ 2θ ≤ 80°):
31.96 deg, 2.800 Å, I = 100; 32.15 deg, 2.784 Å, I = 17; 45.63 deg, 1.988 Å, I = 8; 46.00 deg, 1.973 Å, I = 17; 56.87 deg, 1.619 Å, I = 16; 57.01 deg, 1.615 Å, I = 12; 57.20 deg, 1.610 Å, I = 17; 66.81 deg, 1.400 Å, I = 8; 75.70 deg, 1.256 Å, I = 6; 76.24 deg, 1.249 Å, I = 6

8.
This entry pairs a crystal structure of TbPdO3 with its theoretical powder diffraction line list. Radiation: Cu Kα. Structure: DFT lattice parameters and positions (GGA-PBE).

Crystal structure
```
TbPdO3
1.0
5.8954 0.0000 0.0000
0.0000 7.5430 0.0000
0.0000 0.0000 5.4003
Tb Pd O
4 4 12
Direct
0.0849 0.2500 0.0285
0.4151 0.7500 0.5285
0.5849 0.2500 0.4715
0.9151 0.7500 0.9715
0.0000 0.0000 0.5000
0.0000 0.5000 0.5000
0.5000 0.0000 0.0000
0.5000 0.5000 0.0000
0.0561 0.7500 0.3615
0.1887 0.5604 0.8196
0.1887 0.9396 0.8196
0.3113 0.0604 0.3196
0.3113 0.4396 0.3196
0.4439 0.2500 0.8615
0.5561 0.7500 0.1385
0.6887 0.5604 0.6804
0.6887 0.9396 0.6804
0.8113 0.0604 0.1804
0.8113 0.4396 0.1804
0.9439 0.2500 0.6385
```

Main lines, sorted by position (10° ≤ 2θ ≤ 80°):
25.29 deg, 3.522 Å, I = 20; 30.32 deg, 2.948 Å, I = 16; 32.69 deg, 2.739 Å, I = 100; 33.18 deg, 2.700 Å, I = 22; 45.56 deg, 1.991 Å, I = 12; 47.21 deg, 1.925 Å, I = 11; 48.26 deg, 1.886 Å, I = 11; 50.91 deg, 1.794 Å, I = 13; 58.97 deg, 1.566 Å, I = 18; 59.82 deg, 1.546 Å, I = 10

9.
This entry pairs a crystal structure of Tc2PdO4 with its theoretical powder diffraction line list. Radiation: Cu Kα. Structure: DFT lattice parameters and positions (GGA-PBE).

Crystal structure
```
Tc2PdO4
1.0
0.0000 4.4034 4.4034
4.4034 0.0000 4.4034
4.4034 4.4034 0.0000
Tc Pd O
4 2 8
Direct
0.0000 0.0000 0.0000
0.0000 0.0000 0.5000
0.0000 0.5000 0.0000
0.5000 0.0000 0.0000
0.3750 0.3750 0.3750
0.6250 0.6250 0.6250
0.1983 0.7672 0.7672
0.2328 0.2328 0.2328
0.2328 0.2328 0.8017
0.2328 0.8017 0.2328
0.7672 0.1983 0.7672
0.7672 0.7672 0.1983
0.7672 0.7672 0.7672
0.8017 0.2328 0.2328
```

Main lines, sorted by position (10° ≤ 2θ ≤ 80°):
17.44 deg, 5.085 Å, I = 8; 28.67 deg, 3.114 Å, I = 32; 33.76 deg, 2.655 Å, I = 100; 35.30 deg, 2.542 Å, I = 19; 40.99 deg, 2.202 Å, I = 11; 50.79 deg, 1.798 Å, I = 11; 54.11 deg, 1.695 Å, I = 39; 59.36 deg, 1.557 Å, I = 40; 70.06 deg, 1.343 Å, I = 12; 70.99 deg, 1.328 Å, I = 10

10.
This entry pairs a crystal structure of TePd2O with its theoretical powder diffraction line list. Radiation: Cu Kα. Structure: DFT lattice parameters and positions (GGA-PBE).

Crystal structure
```
TePd2O
1.0
1.8554 -6.4900 0.0000
1.8554 6.4900 0.0000
0.0000 0.0000 5.5990
Te Pd O
2 4 2
Direct
0.1434 0.8566 0.5000
0.8566 0.1434 0.0000
0.2126 0.7874 0.0019
0.4999 0.5001 0.2477
0.5001 0.4999 0.7477
0.7874 0.2126 0.5019
0.3864 0.6136 0.4981
0.6136 0.3864 0.9981
```

Main lines, sorted by position (10° ≤ 2θ ≤ 80°):
31.77 deg, 2.817 Å, I = 100; 34.90 deg, 2.571 Å, I = 52; 35.68 deg, 2.516 Å, I = 41; 40.98 deg, 2.202 Å, I = 49; 42.65 deg, 2.120 Å, I = 16; 44.92 deg, 2.018 Å, I = 17; 45.63 deg, 1.988 Å, I = 30; 49.10 deg, 1.855 Å, I = 23; 54.15 deg, 1.694 Å, I = 21; 61.65 deg, 1.504 Å, I = 20